This entry pairs a crystal structure of Ce11Tl9Ir4 with its calculated X-ray powder pattern. Radiation: a wavelength of 1.5418 Å. Structure: a crystal structure in Alexandria, relaxed with GGA-PBE.
Intensities are scaled so that the largest is 100.

Cell and atoms:
Cell: 13.398 13.398 3.769 Å, 90.00 90.00 111.46°
Element x y z (fractional)
Ce1 0.000 0.000 0.000
Ce2 0.081 0.423 0.000
Ce3 0.152 0.848 0.000
Ce4 0.315 0.315 0.000
Ce5 0.373 0.627 0.000
Ce6 0.423 0.081 0.000
Ce7 0.577 0.919 0.000
Ce8 0.627 0.373 0.000
Ce9 0.685 0.685 0.000
Ce10 0.848 0.152 0.000
Ce11 0.919 0.577 0.000
Tl1 0.078 0.220 0.500
Tl2 0.154 0.639 0.500
Tl3 0.220 0.078 0.500
Tl4 0.361 0.846 0.500
Tl5 0.500 0.500 0.500
Tl6 0.639 0.154 0.500
Tl7 0.780 0.922 0.500
Tl8 0.846 0.361 0.500
Tl9 0.922 0.780 0.500
Ir1 0.248 0.451 0.500
Ir2 0.451 0.248 0.500
Ir3 0.549 0.752 0.500
Ir4 0.752 0.549 0.500

Main lines, by angle (10° ≤ 2θ ≤ 90°):
Position (°2θ)  intensity
31.06  13.9
32.05  13.9
33.61  51.8
33.99  100.0
34.54  11.1
36.05  14.9
36.64  16.8
48.29  17.8
55.03  9.6
60.36  21.2